Entry 1:
The following is a computed powder diffractogram of Nb3AlCr8. It was derived from a crystal structure in the Materials Project, relaxed with PBE, using Cu Ka.
Neutral-atom scattering factors, no anomalous dispersion.

Most intense lines, 10 to 90 degrees two-theta, by angle:
- 2θ = 11.11°, intensity 5
- 2θ = 21.35°, intensity 4
- 2θ = 28.19°, intensity 3
- 2θ = 36.84°, intensity 42
- 2θ = 43.49°, intensity 100
- 2θ = 45.53°, intensity 28
- 2θ = 66.36°, intensity 14
- 2θ = 70.97°, intensity 28
- 2θ = 78.39°, intensity 22
- 2θ = 89.91°, intensity 6

Structure:
Cell lengths 8.4475, 8.4475, 8.4475 Å; angles 33.59, 33.59, 33.59 degrees
Positions (direct):
Nb (0.0000, 0.0000, 0.0000)
Nb (0.1261, 0.1261, 0.1261)
Nb (0.6235, 0.6235, 0.6235)
Al (0.5000, 0.5000, 0.5000)
Cr (0.0622, 0.0622, 0.5613)
Cr (0.0622, 0.5613, 0.0622)
Cr (0.0647, 0.5623, 0.5623)
Cr (0.3124, 0.3124, 0.3124)
Cr (0.5613, 0.0622, 0.0622)
Cr (0.5623, 0.0647, 0.5623)
Cr (0.5623, 0.5623, 0.0647)
Cr (0.8125, 0.8125, 0.8125)


Entry 2:
The following is a computed powder diffractogram of NdAl8Cr4. It was derived from a crystal structure in the Materials Project, relaxed with PBE, using Cu Ka.
Neutral-atom scattering factors, no anomalous dispersion.

Most intense lines, 10 to 90 degrees two-theta, by angle:
- 2θ = 13.91°, intensity 46
- 2θ = 20.13°, intensity 45
- 2θ = 28.04°, intensity 41
- 2θ = 28.33°, intensity 65
- 2θ = 31.43°, intensity 32
- 2θ = 34.76°, intensity 51
- 2θ = 40.07°, intensity 78
- 2θ = 40.28°, intensity 86
- 2θ = 40.92°, intensity 100
- 2θ = 58.61°, intensity 36

Structure:
Cell lengths 6.8489, 6.8489, 6.8489 Å; angles 97.84, 97.84, 136.64 degrees
Positions (direct):
Nd (0.0000, 0.0000, 0.0000)
Al (0.0000, 0.3408, 0.3408)
Al (0.0000, 0.6592, 0.6592)
Al (0.2739, 0.5000, 0.7739)
Al (0.3408, 0.0000, 0.3408)
Al (0.5000, 0.2739, 0.7739)
Al (0.5000, 0.7261, 0.2261)
Al (0.6592, 0.0000, 0.6592)
Al (0.7261, 0.5000, 0.2261)
Cr (0.0000, 0.0000, 0.5000)
Cr (0.0000, 0.5000, 0.0000)
Cr (0.5000, 0.0000, 0.0000)
Cr (0.5000, 0.5000, 0.5000)


Entry 3:
The following is a computed powder diffractogram of NdAl20Cr2. It was derived from a crystal structure in the Materials Project, relaxed with PBE, using Cu Ka.
Neutral-atom scattering factors, no anomalous dispersion.

Most intense lines, 10 to 90 degrees two-theta, by angle:
- 2θ = 10.38°, intensity 31
- 2θ = 16.99°, intensity 34
- 2θ = 34.36°, intensity 32
- 2θ = 35.99°, intensity 100
- 2θ = 38.57°, intensity 44
- 2θ = 40.05°, intensity 42
- 2θ = 40.53°, intensity 46
- 2θ = 52.61°, intensity 26
- 2θ = 62.61°, intensity 21
- 2θ = 72.43°, intensity 28

Structure:
Cell lengths 10.4387, 10.4387, 10.4387 Å; angles 60.00, 60.00, 60.00 degrees
Positions (direct):
Nd (0.1250, 0.1250, 0.1250)
Nd (0.8750, 0.8750, 0.8750)
Al (0.0000, 0.5000, 0.5000)
Al (0.0549, 0.3239, 0.3239)
Al (0.0549, 0.3239, 0.7973)
Al (0.0549, 0.7973, 0.3239)
Al (0.2027, 0.6761, 0.6761)
Al (0.2027, 0.6761, 0.9451)
Al (0.2027, 0.9451, 0.6761)
Al (0.2374, 0.2374, 0.5126)
Al (0.2374, 0.5126, 0.2374)
Al (0.2374, 0.5126, 0.5126)
Al (0.3239, 0.0549, 0.3239)
Al (0.3239, 0.0549, 0.7973)
Al (0.3239, 0.3239, 0.0549)
Al (0.3239, 0.3239, 0.7973)
Al (0.3239, 0.7973, 0.0549)
Al (0.3239, 0.7973, 0.3239)
Al (0.4874, 0.4874, 0.7626)
Al (0.4874, 0.7626, 0.4874)
Al (0.4874, 0.7626, 0.7626)
Al (0.5000, 0.0000, 0.5000)
Al (0.5000, 0.5000, 0.0000)
Al (0.5000, 0.5000, 0.5000)
Al (0.5126, 0.2374, 0.2374)
Al (0.5126, 0.2374, 0.5126)
Al (0.5126, 0.5126, 0.2374)
Al (0.6761, 0.2027, 0.6761)
Al (0.6761, 0.2027, 0.9451)
Al (0.6761, 0.6761, 0.2027)
Al (0.6761, 0.6761, 0.9451)
Al (0.6761, 0.9451, 0.2027)
Al (0.6761, 0.9451, 0.6761)
Al (0.7626, 0.4874, 0.4874)
Al (0.7626, 0.4874, 0.7626)
Al (0.7626, 0.7626, 0.4874)
Al (0.7973, 0.0549, 0.3239)
Al (0.7973, 0.3239, 0.0549)
Al (0.7973, 0.3239, 0.3239)
Al (0.9451, 0.2027, 0.6761)
Al (0.9451, 0.6761, 0.2027)
Al (0.9451, 0.6761, 0.6761)
Cr (0.0000, 0.0000, 0.0000)
Cr (0.0000, 0.0000, 0.5000)
Cr (0.0000, 0.5000, 0.0000)
Cr (0.5000, 0.0000, 0.0000)


Entry 4:
The following is a computed powder diffractogram of NpAl8Cr4. It was derived from a crystal structure in the Materials Project, relaxed with PBE, using Cu Ka.
Neutral-atom scattering factors, no anomalous dispersion.

Most intense lines, 10 to 90 degrees two-theta, by angle:
- 2θ = 14.26°, intensity 100
- 2θ = 20.54°, intensity 85
- 2θ = 28.74°, intensity 49
- 2θ = 28.97°, intensity 99
- 2θ = 32.22°, intensity 45
- 2θ = 35.58°, intensity 62
- 2θ = 41.09°, intensity 64
- 2θ = 41.26°, intensity 97
- 2θ = 41.77°, intensity 91
- 2θ = 60.04°, intensity 36

Structure:
Cell lengths 6.6910, 6.6910, 6.6910 Å; angles 97.92, 97.92, 136.42 degrees
Positions (direct):
Np (0.0000, 0.0000, 0.0000)
Al (0.0000, 0.3398, 0.3398)
Al (0.0000, 0.6602, 0.6602)
Al (0.2830, 0.5000, 0.7830)
Al (0.3398, 0.0000, 0.3398)
Al (0.5000, 0.2830, 0.7830)
Al (0.5000, 0.7170, 0.2170)
Al (0.6602, 0.0000, 0.6602)
Al (0.7170, 0.5000, 0.2170)
Cr (0.0000, 0.0000, 0.5000)
Cr (0.0000, 0.5000, 0.0000)
Cr (0.5000, 0.0000, 0.0000)
Cr (0.5000, 0.5000, 0.5000)


Entry 5:
The following is a computed powder diffractogram of PrAl20Cr2. It was derived from a crystal structure in the Materials Project, relaxed with PBE, using Cu Ka.
Neutral-atom scattering factors, no anomalous dispersion.

Most intense lines, 10 to 90 degrees two-theta, by angle:
- 2θ = 17.27°, intensity 52
- 2θ = 20.28°, intensity 96
- 2θ = 34.94°, intensity 50
- 2θ = 36.60°, intensity 100
- 2θ = 39.23°, intensity 68
- 2θ = 40.73°, intensity 98
- 2θ = 41.23°, intensity 75
- 2θ = 53.53°, intensity 48
- 2θ = 73.81°, intensity 42
- 2θ = 77.47°, intensity 27

Structure:
Cell lengths 10.2708, 10.2708, 10.2708 Å; angles 60.00, 60.00, 60.00 degrees
Positions (direct):
Pr (0.1250, 0.1250, 0.1250)
Pr (0.8750, 0.8750, 0.8750)
Al (0.0000, 0.0000, 0.0000)
Al (0.0000, 0.0000, 0.5000)
Al (0.0000, 0.5000, 0.0000)
Al (0.0567, 0.3277, 0.3277)
Al (0.0567, 0.3277, 0.7878)
Al (0.0567, 0.7878, 0.3277)
Al (0.2122, 0.6723, 0.6723)
Al (0.2122, 0.6723, 0.9433)
Al (0.2122, 0.9433, 0.6723)
Al (0.2380, 0.2380, 0.5120)
Al (0.2380, 0.5120, 0.2380)
Al (0.2380, 0.5120, 0.5120)
Al (0.3277, 0.0567, 0.3277)
Al (0.3277, 0.0567, 0.7878)
Al (0.3277, 0.3277, 0.0567)
Al (0.3277, 0.3277, 0.7878)
Al (0.3277, 0.7878, 0.0567)
Al (0.3277, 0.7878, 0.3277)
Al (0.4880, 0.4880, 0.7620)
Al (0.4880, 0.7620, 0.4880)
Al (0.4880, 0.7620, 0.7620)
Al (0.5000, 0.0000, 0.0000)
Al (0.5120, 0.2380, 0.2380)
Al (0.5120, 0.2380, 0.5120)
Al (0.5120, 0.5120, 0.2380)
Al (0.6723, 0.2122, 0.6723)
Al (0.6723, 0.2122, 0.9433)
Al (0.6723, 0.6723, 0.2122)
Al (0.6723, 0.6723, 0.9433)
Al (0.6723, 0.9433, 0.2122)
Al (0.6723, 0.9433, 0.6723)
Al (0.7620, 0.4880, 0.4880)
Al (0.7620, 0.4880, 0.7620)
Al (0.7620, 0.7620, 0.4880)
Al (0.7878, 0.0567, 0.3277)
Al (0.7878, 0.3277, 0.0567)
Al (0.7878, 0.3277, 0.3277)
Al (0.9433, 0.2122, 0.6723)
Al (0.9433, 0.6723, 0.2122)
Al (0.9433, 0.6723, 0.6723)
Cr (0.0000, 0.5000, 0.5000)
Cr (0.5000, 0.0000, 0.5000)
Cr (0.5000, 0.5000, 0.0000)
Cr (0.5000, 0.5000, 0.5000)